Structure and simulated XRD peak list of La14HoMg (a cell relaxed with GGA-PBE; λ = 1.5418 Å (Cu Kα)).

Crystal structure
a = 7.3480 Å, b = 7.3480 Å, c = 10.4987 Å
α = 90.00°, β = 90.00°, γ = 90.00°
Fractional positions:
1 La 0.0000 0.0000 0.0000
2 La 0.0000 0.5000 0.0000
3 La 0.0000 0.5000 0.5000
4 La 0.2486 0.2486 0.2533
5 La 0.2486 0.2486 0.7467
6 La 0.2486 0.7514 0.2533
7 La 0.2486 0.7514 0.7467
8 La 0.5000 0.0000 0.0000
9 La 0.5000 0.0000 0.5000
10 La 0.5000 0.5000 0.0000
11 La 0.7514 0.2486 0.2533
12 La 0.7514 0.2486 0.7467
13 La 0.7514 0.7514 0.2533
14 La 0.7514 0.7514 0.7467
15 Ho 0.5000 0.5000 0.5000
16 Mg 0.0000 0.0000 0.5000

Peak list (10 most intense, 2θ = 15–90°, by angle)
two_theta  intensity  h k l
29.7  1000  2 0 2
34.2  172  0 0 4
34.5  335  2 2 0
49.4  242  2 2 4
49.6  120  4 0 0
58.4  145  2 0 6
58.9  285  4 2 2
61.6  124  4 0 4
80.1  116  4 2 6
80.5  58  6 0 2